Record 1
For KCoCu2As, the GGA-PBE geometry in Alexandria gives the computed XRD peak list in this record (Cu Kα, 1.54184 Å).

Atomic structure:
Lattice parameters (Å, degrees): 4.799 4.799 5.467 90.00 90.00 90.00
Space group P4/mmm (No. 123)
Unique sites:
K (0.000, 0.000, 0.000) [1 per cell]
Co (0.500, 0.500, 0.500) [1 per cell]
Cu (0.000, 0.500, 0.000) [2 per cell]
As (0.000, 0.000, 0.500) [1 per cell]

Top 12 peaks for 10° ≤ 2θ ≤ 90°, in order of rising 2θ:
- d = 4.799 Å, 18.49°, intensity 10
- d = 2.883 Å, 31.02°, intensity 100
- d = 2.734 Å, 32.76°, intensity 39
- d = 2.399 Å, 37.48°, intensity 53
- d = 1.803 Å, 50.62°, intensity 43
- d = 1.697 Å, 54.05°, intensity 17
- d = 1.606 Å, 57.39°, intensity 16
- d = 1.462 Å, 63.64°, intensity 24
- d = 1.442 Å, 64.66°, intensity 19
- d = 1.188 Å, 80.95°, intensity 10
- d = 1.166 Å, 82.77°, intensity 11
- d = 1.099 Å, 89.14°, intensity 8



Record 2
For Th2Co4CuAs3, the GGA-PBE geometry in Alexandria gives the computed XRD peak list in this record (Cu Kα, 1.54184 Å).

Atomic structure:
Lattice parameters (Å, degrees): 4.104 4.104 9.610 90.00 90.00 90.00
Space group P-4m2 (No. 115)
Unique sites:
Th (0.000, 0.500, 0.249) [2 per cell]
Co (0.000, 0.000, 0.000) [1 per cell]
Co (0.000, 0.500, 0.624) [2 per cell]
Co (0.500, 0.500, 0.000) [1 per cell]
Cu (0.000, 0.000, 0.500) [1 per cell]
As (0.000, 0.500, 0.868) [2 per cell]
As (0.500, 0.500, 0.500) [1 per cell]

Top 12 peaks for 10° ≤ 2θ ≤ 90°, in order of rising 2θ:
- d = 3.774 Å, 23.57°, intensity 32
- d = 2.902 Å, 30.81°, intensity 29
- d = 2.525 Å, 35.55°, intensity 78
- d = 2.484 Å, 36.16°, intensity 100
- d = 2.052 Å, 44.14°, intensity 53
- d = 1.803 Å, 50.64°, intensity 9
- d = 1.741 Å, 52.58°, intensity 28
- d = 1.592 Å, 57.91°, intensity 39
- d = 1.451 Å, 64.19°, intensity 17
- d = 1.402 Å, 66.70°, intensity 14
- d = 1.327 Å, 71.02°, intensity 23
- d = 1.253 Å, 75.95°, intensity 23



Record 3
For DyCo5As3, the GGA-PBE geometry in Alexandria gives the computed XRD peak list in this record (Cu Kα, 1.54184 Å).

Atomic structure:
Lattice parameters (Å, degrees): 3.706 11.865 11.691 90.00 90.00 90.00
Space group Cmcm (No. 63)
Unique sites:
Dy (0.000, 0.158, 0.250) [4 per cell]
Co (0.000, 0.000, 0.000) [4 per cell]
Co (0.000, 0.195, 0.570) [8 per cell]
Co (0.000, 0.448, 0.142) [8 per cell]
As (0.000, 0.110, 0.750) [4 per cell]
As (0.000, 0.381, 0.545) [8 per cell]

Top 12 peaks for 10° ≤ 2θ ≤ 90°, in order of rising 2θ:
- d = 3.026 Å, 29.51°, intensity 35
- d = 2.875 Å, 31.11°, intensity 31
- d = 2.704 Å, 33.13°, intensity 35
- d = 2.619 Å, 34.23°, intensity 100
- d = 2.454 Å, 36.61°, intensity 99
- d = 2.360 Å, 38.13°, intensity 28
- d = 2.253 Å, 40.02°, intensity 63
- d = 1.950 Å, 46.58°, intensity 30
- d = 1.891 Å, 48.12°, intensity 42
- d = 1.853 Å, 49.18°, intensity 79
- d = 1.778 Å, 51.38°, intensity 33
- d = 1.581 Å, 58.37°, intensity 27